This entry pairs a crystal structure of Ga2SnGeS6 with its theoretical powder diffractogram. Radiation: Cu Kα. Structure: a crystal structure in the Materials Project, relaxed with GGA-PBE.

a b c (Å): 23.6551 7.0380 23.1598
angles (deg): 85.36 17.25 77.38
Atoms (fractional coordinates):
Ga1 0.1039 0.4405 0.6283
Ga2 0.3071 0.6929 0.3270
Ga3 0.4227 0.6217 0.8095
Ga4 0.4405 0.1039 0.8273
Ga5 0.5770 0.9230 0.5571
Ga6 0.6217 0.4227 0.1461
Ga7 0.6929 0.3071 0.6730
Ga8 0.9230 0.5770 0.9429
Sn1 0.0616 0.7737 0.2912
Sn2 0.3765 0.9588 0.4763
Sn3 0.7737 0.0616 0.8735
Sn4 0.9588 0.3765 0.1884
Ge1 0.1959 0.1959 0.8041
Ge2 0.4459 0.4459 0.0541
Ge3 0.7044 0.7044 0.2956
Ge4 0.9544 0.9544 0.5456
S1 0.0405 0.0920 0.3810
S2 0.0473 0.5920 0.5902
S3 0.0731 0.5958 0.4173
S4 0.0920 0.0405 0.4864
S5 0.1973 0.4652 0.0396
S6 0.2104 0.9521 0.0527
S7 0.2571 0.3420 0.6626
S8 0.3362 0.8327 0.6542
S9 0.3420 0.2571 0.7383
S10 0.4577 0.7539 0.2553
S11 0.4652 0.1973 0.2979
S12 0.4794 0.6598 0.6580
S13 0.5117 0.5874 0.9080
S14 0.5874 0.5117 0.9929
S15 0.5920 0.0473 0.7706
S16 0.5958 0.0731 0.9138
S17 0.6598 0.4794 0.2027
S18 0.7170 0.9947 0.4961
S19 0.7539 0.4577 0.5330
S20 0.7636 0.8690 0.1580
S21 0.8327 0.3362 0.1769
S22 0.8690 0.7636 0.2095
S23 0.9521 0.2104 0.7848
S24 0.9947 0.7170 0.7923

The 8 most intense peaks (2θ from 10° to 90°), low angle first:
5.831 Å, intensity 100; 3.427 Å, intensity 24; 3.278 Å, intensity 58; 2.873 Å, intensity 47; 2.859 Å, intensity 18; 2.733 Å, intensity 63; 2.366 Å, intensity 22; 1.804 Å, intensity 17

This entry pairs a crystal structure of V2OsW with its theoretical powder diffractogram. Radiation: Cu Kα. Structure: a crystal structure in the Materials Project, relaxed with GGA-PBE.

a b c (Å): 4.3149 4.3149 4.3149
angles (deg): 60.00 60.00 60.00
Atoms (fractional coordinates):
V1 0.2500 0.2500 0.2500
V2 0.7500 0.7500 0.7500
Os1 0.0000 0.0000 0.0000
W1 0.5000 0.5000 0.5000

The 6 most intense peaks (2θ from 10° to 90°), low angle first:
3.051 Å, intensity 42; 2.157 Å, intensity 100; 1.762 Å, intensity 12; 1.526 Å, intensity 16; 1.364 Å, intensity 17; 1.246 Å, intensity 33

This entry pairs a crystal structure of Li2CuAuF6 with its theoretical powder diffractogram. Radiation: Cu Kα. Structure: a crystal structure in the Materials Project, relaxed with GGA-PBE.

a b c (Å): 5.9441 5.9441 5.9441
angles (deg): 60.00 60.00 60.00
Atoms (fractional coordinates):
Li1 0.2500 0.2500 0.2500
Li2 0.7500 0.7500 0.7500
Cu1 0.0000 0.0000 0.0000
Au1 0.5000 0.5000 0.5000
F1 0.2350 0.2350 0.7650
F2 0.2350 0.7650 0.2350
F3 0.2350 0.7650 0.7650
F4 0.7650 0.2350 0.2350
F5 0.7650 0.2350 0.7650
F6 0.7650 0.7650 0.2350

The 8 most intense peaks (2θ from 10° to 90°), low angle first:
4.853 Å, intensity 27; 4.203 Å, intensity 100; 2.972 Å, intensity 54; 2.535 Å, intensity 22; 2.102 Å, intensity 27; 1.880 Å, intensity 43; 1.716 Å, intensity 22; 1.401 Å, intensity 20

- What is the formula in the first record?
  Ga2SnGeS6